Record 1
For Ti4Co4Si7, a cell relaxed with PBE gives the simulated powder diffractogram in this record (a wavelength of 1.5418 Å).
Lines closer than 0.1° are merged.

Structural model:
```
data_Ti4Co4Si7
_chemical_formula_sum 'Ti16 Co16 Si28'
_cell_length_a 12.493
_cell_length_b 12.493
_cell_length_c 4.922
_cell_angle_alpha 90.00
_cell_angle_beta 90.00
_cell_angle_gamma 90.00
_symmetry_space_group_name_H-M 'I 4/m m m'
_symmetry_Int_Tables_number 139
_symmetry_space_group_name_Hall '-I 4 2'
loop_
_atom_site_label
_atom_site_type_symbol
_atom_site_fract_x
_atom_site_fract_y
_atom_site_fract_z
Ti1 Ti 0.000 0.193 0.000
Ti2 Ti 0.135 0.135 0.500
Co1 Co 0.150 0.350 0.250
Si1 Si 0.000 0.000 0.250
Si2 Si 0.000 0.294 0.500
Si3 Si 0.000 0.405 0.000
Si4 Si 0.206 0.206 0.000
```

Main lines, by intensity (15° ≤ 2θ ≤ 90°):
2θ (°), intensity
40.49, 100.0
43.32, 88.7
43.46, 45.5
40.86, 33.2
48.19, 32.6
68.78, 23.8
47.01, 23.1
22.51, 21.8


Record 2
For Ti6Co16Si7, a cell relaxed with PBE gives the simulated powder diffractogram in this record (a wavelength of 1.5418 Å).
Lines closer than 0.1° are merged.

Structural model:
```
data_Ti6Co16Si7
_chemical_formula_sum 'Ti24 Co64 Si28'
_cell_length_a 11.071
_cell_length_b 11.071
_cell_length_c 11.071
_cell_angle_alpha 90.00
_cell_angle_beta 90.00
_cell_angle_gamma 90.00
_symmetry_space_group_name_H-M 'F m -3 m'
_symmetry_Int_Tables_number 225
_symmetry_space_group_name_Hall '-F 4 2 3'
loop_
_atom_site_label
_atom_site_type_symbol
_atom_site_fract_x
_atom_site_fract_y
_atom_site_fract_z
Ti1 Ti 0.000 0.000 0.200
Co1 Co 0.119 0.119 0.381
Co2 Co 0.167 0.167 0.167
Si1 Si 0.000 0.000 0.500
Si2 Si 0.000 0.250 0.250
```

Main lines, by intensity (15° ≤ 2θ ≤ 90°):
2θ (°), intensity
46.40, 100.0
42.43, 84.9
48.66, 32.2
87.71, 21.4
39.89, 16.0
32.35, 16.0
49.39, 15.6
72.44, 15.5


Record 3
For TmCoSi, a cell relaxed with PBE gives the simulated powder diffractogram in this record (a wavelength of 1.5418 Å).
Lines closer than 0.1° are merged.

Structural model:
```
data_TmCoSi
_chemical_formula_sum 'Tm4 Co4 Si4'
_cell_length_a 6.788
_cell_length_b 4.132
_cell_length_c 6.945
_cell_angle_alpha 90.00
_cell_angle_beta 90.00
_cell_angle_gamma 90.00
_symmetry_space_group_name_H-M 'P n m a'
_symmetry_Int_Tables_number 62
_symmetry_space_group_name_Hall '-P 2ac 2n'
loop_
_atom_site_label
_atom_site_type_symbol
_atom_site_fract_x
_atom_site_fract_y
_atom_site_fract_z
Tm1 Tm 0.015 0.250 0.192
Co1 Co 0.148 0.750 0.438
Si1 Si 0.198 0.250 0.605
```

Main lines, by intensity (15° ≤ 2θ ≤ 90°):
2θ (°), intensity
36.63, 100.0
36.30, 71.5
25.08, 57.3
43.82, 32.9
37.04, 31.8
41.20, 29.9
26.26, 29.6
44.88, 23.7


Record 4
For Tm3Co2Si3, a cell relaxed with PBE gives the simulated powder diffractogram in this record (a wavelength of 1.5418 Å).
Lines closer than 0.1° are merged.

Structural model:
```
data_Tm3Co2Si3
_chemical_formula_sum 'Tm12 Co8 Si12'
_cell_length_a 4.057
_cell_length_b 10.265
_cell_length_c 13.454
_cell_angle_alpha 90.00
_cell_angle_beta 90.00
_cell_angle_gamma 90.00
_symmetry_space_group_name_H-M 'C m c m'
_symmetry_Int_Tables_number 63
_symmetry_space_group_name_Hall '-C 2c 2'
loop_
_atom_site_label
_atom_site_type_symbol
_atom_site_fract_x
_atom_site_fract_y
_atom_site_fract_z
Tm1 Tm 0.000 0.080 0.112
Tm2 Tm 0.000 0.362 0.250
Co1 Co 0.000 0.213 0.582
Si1 Si 0.000 0.332 0.750
Si2 Si 0.000 0.381 0.039
```

Main lines, by intensity (15° ≤ 2θ ≤ 90°):
2θ (°), intensity
35.76, 100.0
34.95, 85.4
26.39, 47.2
39.90, 40.8
44.67, 35.4
24.50, 33.6
37.75, 24.5
27.10, 23.3


Record 5
For UCoSi, a cell relaxed with PBE gives the simulated powder diffractogram in this record (a wavelength of 1.5418 Å).
Lines closer than 0.1° are merged.

Structural model:
```
data_UCoSi
_chemical_formula_sum 'U4 Co4 Si4'
_cell_length_a 3.982
_cell_length_b 7.149
_cell_length_c 7.028
_cell_angle_alpha 90.00
_cell_angle_beta 90.00
_cell_angle_gamma 90.00
_symmetry_space_group_name_H-M 'C m c m'
_symmetry_Int_Tables_number 63
_symmetry_space_group_name_Hall '-C 2c 2'
loop_
_atom_site_label
_atom_site_type_symbol
_atom_site_fract_x
_atom_site_fract_y
_atom_site_fract_z
U1 U 0.000 0.000 0.000
Co1 Co 0.000 0.347 0.250
Si1 Si 0.000 0.326 0.750
```

Main lines, by intensity (15° ≤ 2θ ≤ 90°):
2θ (°), intensity
36.34, 100.0
25.61, 49.7
35.84, 47.8
44.30, 37.5
24.91, 30.0
59.28, 22.8
70.69, 19.1
45.57, 17.5


Record 6
For UCoSi, a cell relaxed with PBE gives the simulated powder diffractogram in this record (a wavelength of 1.5418 Å).
Lines closer than 0.1° are merged.

Structural model:
```
data_UCoSi
_chemical_formula_sum 'U4 Co4 Si4'
_cell_length_a 7.013
_cell_length_b 3.966
_cell_length_c 7.137
_cell_angle_alpha 90.00
_cell_angle_beta 90.00
_cell_angle_gamma 90.00
_symmetry_space_group_name_H-M 'P n m a'
_symmetry_Int_Tables_number 62
_symmetry_space_group_name_Hall '-P 2ac 2n'
loop_
_atom_site_label
_atom_site_type_symbol
_atom_site_fract_x
_atom_site_fract_y
_atom_site_fract_z
U1 U 0.001 0.250 0.247
Co1 Co 0.247 0.750 0.402
Si1 Si 0.246 0.250 0.577
```

Main lines, by intensity (15° ≤ 2θ ≤ 90°):
2θ (°), intensity
36.44, 100.0
25.70, 49.5
35.91, 47.7
44.41, 37.4
24.95, 30.2
59.49, 22.7
70.87, 19.0
45.75, 17.5


Record 7
For UCo10Si2, a cell relaxed with PBE gives the simulated powder diffractogram in this record (a wavelength of 1.5418 Å).
Lines closer than 0.1° are merged.

Structural model:
```
data_UCo10Si2
_chemical_formula_sum 'U4 Co40 Si8'
_cell_length_a 4.833
_cell_length_b 11.316
_cell_length_c 11.639
_cell_angle_alpha 90.00
_cell_angle_beta 90.00
_cell_angle_gamma 90.00
_symmetry_space_group_name_H-M 'F m m m'
_symmetry_Int_Tables_number 69
_symmetry_space_group_name_Hall '-F 2 2'
loop_
_atom_site_label
_atom_site_type_symbol
_atom_site_fract_x
_atom_site_fract_y
_atom_site_fract_z
U1 U 0.000 0.000 0.000
Co1 Co 0.000 0.112 0.386
Co2 Co 0.000 0.173 0.174
Co3 Co 0.250 0.250 0.000
Si1 Si 0.250 0.000 0.250
```

Main lines, by intensity (15° ≤ 2θ ≤ 90°):
2θ (°), intensity
43.60, 100.0
38.13, 96.4
43.91, 91.0
44.90, 84.8
44.68, 83.5
30.59, 50.6
37.21, 47.4
21.40, 45.9


Record 8
For UCo2Si2, a cell relaxed with PBE gives the simulated powder diffractogram in this record (a wavelength of 1.5418 Å).
Lines closer than 0.1° are merged.

Structural model:
```
data_UCo2Si2
_chemical_formula_sum 'U2 Co4 Si4'
_cell_length_a 3.879
_cell_length_b 3.879
_cell_length_c 9.670
_cell_angle_alpha 90.00
_cell_angle_beta 90.00
_cell_angle_gamma 90.00
_symmetry_space_group_name_H-M 'I 4/m m m'
_symmetry_Int_Tables_number 139
_symmetry_space_group_name_Hall '-I 4 2'
loop_
_atom_site_label
_atom_site_type_symbol
_atom_site_fract_x
_atom_site_fract_y
_atom_site_fract_z
U1 U 0.000 0.000 0.000
Co1 Co 0.000 0.500 0.250
Si1 Si 0.000 0.000 0.376
```

Main lines, by intensity (15° ≤ 2θ ≤ 90°):
2θ (°), intensity
37.71, 100.0
24.73, 79.4
36.24, 63.7
46.84, 35.9
60.62, 29.5
52.90, 22.3
80.84, 22.1
53.68, 21.2


Record 9
For CoSiW, a cell relaxed with PBE gives the simulated powder diffractogram in this record (a wavelength of 1.5418 Å).
Lines closer than 0.1° are merged.

Structural model:
```
data_CoSiW
_chemical_formula_sum 'Co8 Si8 W8'
_cell_length_a 7.578
_cell_length_b 4.851
_cell_length_c 8.096
_cell_angle_alpha 90.00
_cell_angle_beta 90.00
_cell_angle_gamma 90.00
_symmetry_space_group_name_H-M 'A m m 2'
_symmetry_Int_Tables_number 38
_symmetry_space_group_name_Hall 'A 2 -2'
loop_
_atom_site_label
_atom_site_type_symbol
_atom_site_fract_x
_atom_site_fract_y
_atom_site_fract_z
Co1 Co 0.000 0.000 0.000
Co2 Co 0.000 0.239 0.758
Co3 Co 0.500 0.000 0.314
Si1 Si 0.231 0.000 0.178
Si2 Si 0.500 0.241 0.571
W1 W 0.181 0.000 0.508
W2 W 0.311 0.000 0.836
```

Main lines, by intensity (15° ≤ 2θ ≤ 90°):
2θ (°), intensity
45.25, 100.0
41.84, 83.1
38.16, 49.6
42.17, 35.7
37.07, 32.0
21.35, 30.9
44.35, 27.1
31.95, 24.1


Record 10
For Y2Co3Si, a cell relaxed with PBE gives the simulated powder diffractogram in this record (a wavelength of 1.5418 Å).
Lines closer than 0.1° are merged.

Structural model:
```
data_Y2Co3Si
_chemical_formula_sum 'Y6 Co9 Si3'
_cell_length_a 5.2564
_cell_length_b 5.2564
_cell_length_c 11.5669
_cell_angle_alpha 90.00
_cell_angle_beta 90.00
_cell_angle_gamma 120.00
_symmetry_space_group_name_H-M 'R -3 m'
_symmetry_Int_Tables_number 166
_symmetry_space_group_name_Hall '-R 3 2"'
loop_
_atom_site_label
_atom_site_type_symbol
_atom_site_fract_x
_atom_site_fract_y
_atom_site_fract_z
Y1 Y 0.0000 0.0000 0.1268
Co1 Co 0.0000 0.5000 0.0000
Si1 Si 0.0000 0.0000 0.5000
```

Main lines, by intensity (15° ≤ 2θ ≤ 90°):
2θ (°), intensity
41.59, 100.0
40.39, 88.9
36.82, 65.9
42.69, 41.2
34.11, 38.5
43.90, 38.2
71.84, 28.6
62.85, 25.9


Record 11
For YCo2Si2, a cell relaxed with PBE gives the simulated powder diffractogram in this record (a wavelength of 1.5418 Å).
Lines closer than 0.1° are merged.

Structural model:
```
data_YCo2Si2
_chemical_formula_sum 'Y2 Co4 Si4'
_cell_length_a 3.882
_cell_length_b 3.882
_cell_length_c 9.773
_cell_angle_alpha 90.00
_cell_angle_beta 90.00
_cell_angle_gamma 90.00
_symmetry_space_group_name_H-M 'I 4/m m m'
_symmetry_Int_Tables_number 139
_symmetry_space_group_name_Hall '-I 4 2'
loop_
_atom_site_label
_atom_site_type_symbol
_atom_site_fract_x
_atom_site_fract_y
_atom_site_fract_z
Y1 Y 0.000 0.000 0.000
Co1 Co 0.000 0.500 0.250
Si1 Si 0.000 0.000 0.371
```

Main lines, by intensity (15° ≤ 2θ ≤ 90°):
2θ (°), intensity
37.58, 100.0
35.99, 44.6
46.80, 42.6
80.70, 19.0
60.42, 18.9
66.78, 18.4
24.67, 17.0
36.79, 14.7


Record 12
For YCo9Si4, a cell relaxed with PBE gives the simulated powder diffractogram in this record (a wavelength of 1.5418 Å).
Lines closer than 0.1° are merged.

Structural model:
```
data_YCo9Si4
_chemical_formula_sum 'Y4 Co36 Si16'
_cell_length_a 7.719
_cell_length_b 7.719
_cell_length_c 11.446
_cell_angle_alpha 90.00
_cell_angle_beta 90.00
_cell_angle_gamma 90.00
_symmetry_space_group_name_H-M 'I 4/m c m'
_symmetry_Int_Tables_number 140
_symmetry_space_group_name_Hall '-I 4 2c'
loop_
_atom_site_label
_atom_site_type_symbol
_atom_site_fract_x
_atom_site_fract_y
_atom_site_fract_z
Y1 Y 0.000 0.000 0.250
Co1 Co 0.000 0.500 0.000
Co2 Co 0.069 0.198 0.000
Co3 Co 0.131 0.369 0.181
Si1 Si 0.169 0.331 0.377
```

Main lines, by intensity (15° ≤ 2θ ≤ 90°):
2θ (°), intensity
40.16, 100.0
47.67, 55.9
48.78, 42.3
49.32, 25.2
39.19, 20.3
26.98, 15.8
36.48, 15.8
35.42, 15.3